# 1
# TiCr2Te4
Calculated powder diffractogram, Cu Kα, 1.54184 Å. Input: a crystal structure in Alexandria, relaxed with PBE.
No peak broadening, texture or thermal motion is included.

Top 10 peaks for 5° ≤ 2θ ≤ 70°, low angle first:
two_theta  d [Å]  intensity
28.6  3.120  26
28.9  3.088  31
29.2  3.059  49
29.5  3.025  100
29.7  3.011  61
38.8  2.320  36
39.0  2.308  27
44.8  2.022  56
45.9  1.975  26
51.4  1.777  23

Atomic structure:
Lattice parameters (Å, degrees): 7.4055 7.4055 7.0621 117.88 117.88 30.94
Atoms (fractional coordinates):
Ti: 0.0000 0.0000 0.0000
Cr: 0.2575 0.2575 0.2743
Cr: 0.7425 0.7425 0.7257
Te: 0.1229 0.1229 0.4503
Te: 0.3671 0.3671 0.0331
Te: 0.6329 0.6329 0.9669
Te: 0.8771 0.8771 0.5497


# 2
# SmZn2Au6
Calculated powder diffractogram, Cu Kα, 1.54184 Å. Input: a crystal structure in Alexandria, relaxed with PBE.
No peak broadening, texture or thermal motion is included.

Top 10 peaks for 5° ≤ 2θ ≤ 70°, low angle first:
two_theta  d [Å]  intensity
21.3  4.173  17
25.0  3.559  12
30.3  2.951  85
37.3  2.410  8
39.7  2.272  5
43.4  2.087  100
48.8  1.866  4
53.8  1.704  23
58.5  1.577  5
63.0  1.476  17

Atomic structure:
Lattice parameters (Å, degrees): 8.3469 8.3469 8.3469 60.00 60.00 60.00
Atoms (fractional coordinates):
Sm: 0.1250 0.1250 0.1250
Sm: 0.8750 0.8750 0.8750
Zn: 0.0000 0.5000 0.5000
Zn: 0.5000 0.0000 0.5000
Zn: 0.5000 0.5000 0.0000
Zn: 0.5000 0.5000 0.5000
Au: 0.1239 0.1239 0.6261
Au: 0.1239 0.6261 0.1239
Au: 0.1239 0.6261 0.6261
Au: 0.3739 0.3739 0.8761
Au: 0.3739 0.8761 0.3739
Au: 0.3739 0.8761 0.8761
Au: 0.6261 0.1239 0.1239
Au: 0.6261 0.1239 0.6261
Au: 0.6261 0.6261 0.1239
Au: 0.8761 0.3739 0.3739
Au: 0.8761 0.3739 0.8761
Au: 0.8761 0.8761 0.3739


# 3
# PrGa4Pd6
Calculated powder diffractogram, Cu Kα, 1.54184 Å. Input: a crystal structure in Alexandria, relaxed with PBE.
No peak broadening, texture or thermal motion is included.

Top 10 peaks for 5° ≤ 2θ ≤ 70°, low angle first:
two_theta  d [Å]  intensity
33.2  2.701  22
36.1  2.487  100
37.3  2.412  34
42.5  2.127  10
43.9  2.061  36
45.7  1.986  26
48.6  1.875  13
49.5  1.842  24
60.4  1.533  16
69.6  1.350  17

Atomic structure:
Lattice parameters (Å, degrees): 7.3681 7.3681 3.9711 90.00 90.00 120.00
Atoms (fractional coordinates):
Pr: 0.0000 0.0000 0.0000
Ga: 0.2004 0.4009 0.5000
Ga: 0.2004 0.7996 0.5000
Ga: 0.5991 0.7996 0.5000
Ga: 0.6667 0.3333 0.0000
Pd: 0.0676 0.5338 0.0000
Pd: 0.3994 0.1997 0.5000
Pd: 0.4662 0.5338 0.0000
Pd: 0.4662 0.9324 0.0000
Pd: 0.8003 0.1997 0.5000
Pd: 0.8003 0.6006 0.5000


# 4
# Hf5TiP4
Calculated powder diffractogram, Cu Kα, 1.54184 Å. Input: a crystal structure in Alexandria, relaxed with PBE.
No peak broadening, texture or thermal motion is included.

Top 10 peaks for 5° ≤ 2θ ≤ 70°, low angle first:
two_theta  d [Å]  intensity
30.2  2.955  40
30.8  2.905  75
31.5  2.837  36
35.4  2.532  100
36.4  2.470  37
50.8  1.796  45
51.2  1.785  16
52.5  1.742  26
60.1  1.538  13
64.1  1.452  14

Atomic structure:
Lattice parameters (Å, degrees): 7.9105 7.9105 7.1479 105.44 105.44 26.24
Atoms (fractional coordinates):
Hf: 0.0000 0.0000 0.0000
Hf: 0.3171 0.3171 0.1573
Hf: 0.3381 0.3381 0.6701
Hf: 0.6619 0.6619 0.3299
Hf: 0.6829 0.6829 0.8427
Ti: 0.0000 0.0000 0.5000
P: 0.1658 0.1658 0.5827
P: 0.4894 0.4894 0.2495
P: 0.5106 0.5106 0.7505
P: 0.8342 0.8342 0.4173


# 5
# MgTi4Cu3O12
Calculated powder diffractogram, Cu Kα, 1.54184 Å. Input: a crystal structure in Alexandria, relaxed with PBE.
No peak broadening, texture or thermal motion is included.

Top 10 peaks for 5° ≤ 2θ ≤ 70°, low angle first:
two_theta  d [Å]  intensity
16.9  5.257  12
33.7  2.660  24
34.1  2.631  100
34.2  2.618  25
48.7  1.870  13
48.9  1.862  15
49.1  1.855  15
60.9  1.521  12
61.1  1.516  12
61.3  1.513  26

Atomic structure:
Lattice parameters (Å, degrees): 6.4174 6.4174 7.4477 124.83 124.83 70.62
Atoms (fractional coordinates):
Mg: 0.0000 0.0000 0.0000
Ti: 0.0590 0.5396 0.5835
Ti: 0.0679 0.5558 0.1016
Ti: 0.5396 0.0590 0.5835
Ti: 0.5558 0.0679 0.1016
Cu: 0.0633 0.0633 0.6156
Cu: 0.5641 0.5641 0.1059
Cu: 0.5716 0.5716 0.6138
O: 0.1880 0.5938 0.9347
O: 0.2406 0.8942 0.8204
O: 0.2441 0.8892 0.4227
O: 0.3782 0.3782 0.2415
O: 0.3784 0.3784 0.5998
O: 0.5497 0.9382 0.2888
O: 0.5938 0.1880 0.9347
O: 0.7641 0.7641 0.6268
O: 0.7737 0.7737 0.9881
O: 0.8892 0.2441 0.4227
O: 0.8942 0.2406 0.8204
O: 0.9382 0.5497 0.2888


# 6
# PrDy15Tm4
Calculated powder diffractogram, Cu Kα, 1.54184 Å. Input: a crystal structure in Alexandria, relaxed with PBE.
No peak broadening, texture or thermal motion is included.

Top 5 peaks for 5° ≤ 2θ ≤ 70°, low angle first:
two_theta  d [Å]  intensity
30.9  2.890  100
35.9  2.502  51
51.7  1.770  36
61.4  1.509  43
64.5  1.445  12

Atomic structure:
Lattice parameters (Å, degrees): 5.0044 5.0044 25.0313 90.00 90.00 90.00
Atoms (fractional coordinates):
Pr: 0.0000 0.0000 0.0000
Dy: 0.0000 0.5000 0.1025
Dy: 0.0000 0.5000 0.3012
Dy: 0.0000 0.5000 0.5000
Dy: 0.0000 0.5000 0.6988
Dy: 0.0000 0.5000 0.8975
Dy: 0.5000 0.0000 0.1025
Dy: 0.5000 0.0000 0.3012
Dy: 0.5000 0.0000 0.5000
Dy: 0.5000 0.0000 0.6988
Dy: 0.5000 0.0000 0.8975
Dy: 0.5000 0.5000 0.0000
Dy: 0.5000 0.5000 0.2024
Dy: 0.5000 0.5000 0.4006
Dy: 0.5000 0.5000 0.5994
Dy: 0.5000 0.5000 0.7976
Tm: 0.0000 0.0000 0.2018
Tm: 0.0000 0.0000 0.4006
Tm: 0.0000 0.0000 0.5994
Tm: 0.0000 0.0000 0.7982


# 7
# Fe3NiRh5
Calculated powder diffractogram, Cu Kα, 1.54184 Å. Input: a crystal structure in Alexandria, relaxed with PBE.
No peak broadening, texture or thermal motion is included.

Top 10 peaks for 5° ≤ 2θ ≤ 70°, low angle first:
two_theta  d [Å]  intensity
29.8  2.998  8
35.9  2.498  7
39.3  2.291  8
39.9  2.259  100
42.6  2.120  43
42.8  2.114  11
49.9  1.828  7
50.1  1.820  8
53.3  1.718  11
61.9  1.499  9

Atomic structure:
Lattice parameters (Å, degrees): 5.9969 5.9969 6.8719 90.00 90.00 90.00
Atoms (fractional coordinates):
Fe: 0.0000 0.0000 0.0000
Fe: 0.1150 0.3850 0.5000
Fe: 0.3850 0.8850 0.5000
Fe: 0.5000 0.5000 0.0000
Fe: 0.6150 0.1150 0.5000
Fe: 0.8850 0.6150 0.5000
Ni: 0.0000 0.5000 0.0000
Ni: 0.5000 0.0000 0.0000
Rh: 0.0000 0.0000 0.5000
Rh: 0.2319 0.7319 0.2159
Rh: 0.2319 0.7319 0.7841
Rh: 0.2681 0.2319 0.2159
Rh: 0.2681 0.2319 0.7841
Rh: 0.5000 0.5000 0.5000
Rh: 0.7319 0.7681 0.2159
Rh: 0.7319 0.7681 0.7841
Rh: 0.7681 0.2681 0.2159
Rh: 0.7681 0.2681 0.7841


# 8
# TbPrHo14
Calculated powder diffractogram, Cu Kα, 1.54184 Å. Input: a crystal structure in Alexandria, relaxed with PBE.
No peak broadening, texture or thermal motion is included.

Top 10 peaks for 5° ≤ 2θ ≤ 70°, low angle first:
two_theta  d [Å]  intensity
29.0  3.077  8
30.1  2.972  42
31.3  2.858  34
33.1  2.710  100
37.6  2.394  23
49.7  1.835  10
51.4  1.777  26
56.8  1.620  21
61.4  1.509  30
62.5  1.486  16

Atomic structure:
Lattice parameters (Å, degrees): 11.4324 7.1054 7.1054 60.05 90.00 90.00
Atoms (fractional coordinates):
Tb: 0.0000 0.0000 0.0000
Pr: 0.0000 0.4998 0.4998
Ho: 0.0000 0.0000 0.4999
Ho: 0.0000 0.4999 0.0000
Ho: 0.2506 0.1670 0.1670
Ho: 0.2522 0.6672 0.6672
Ho: 0.2527 0.1663 0.6671
Ho: 0.2527 0.6671 0.1663
Ho: 0.5000 0.3335 0.3335
Ho: 0.5000 0.3337 0.8341
Ho: 0.5000 0.8341 0.3337
Ho: 0.5000 0.8337 0.8337
Ho: 0.7473 0.1663 0.6671
Ho: 0.7473 0.6671 0.1663
Ho: 0.7478 0.6672 0.6672
Ho: 0.7494 0.1670 0.1670


Please write out number 5 again, unchanged.
# MgTi4Cu3O12
Calculated powder diffractogram, Cu Kα, 1.54184 Å. Input: a crystal structure in Alexandria, relaxed with PBE.
No peak broadening, texture or thermal motion is included.

Top 10 peaks for 5° ≤ 2θ ≤ 70°, low angle first:
two_theta  d [Å]  intensity
16.9  5.257  12
33.7  2.660  24
34.1  2.631  100
34.2  2.618  25
48.7  1.870  13
48.9  1.862  15
49.1  1.855  15
60.9  1.521  12
61.1  1.516  12
61.3  1.513  26

Atomic structure:
Lattice parameters (Å, degrees): 6.4174 6.4174 7.4477 124.83 124.83 70.62
Atoms (fractional coordinates):
Mg: 0.0000 0.0000 0.0000
Ti: 0.0590 0.5396 0.5835
Ti: 0.0679 0.5558 0.1016
Ti: 0.5396 0.0590 0.5835
Ti: 0.5558 0.0679 0.1016
Cu: 0.0633 0.0633 0.6156
Cu: 0.5641 0.5641 0.1059
Cu: 0.5716 0.5716 0.6138
O: 0.1880 0.5938 0.9347
O: 0.2406 0.8942 0.8204
O: 0.2441 0.8892 0.4227
O: 0.3782 0.3782 0.2415
O: 0.3784 0.3784 0.5998
O: 0.5497 0.9382 0.2888
O: 0.5938 0.1880 0.9347
O: 0.7641 0.7641 0.6268
O: 0.7737 0.7737 0.9881
O: 0.8892 0.2441 0.4227
O: 0.8942 0.2406 0.8204
O: 0.9382 0.5497 0.2888


Copy entry 1 word for word.
# TiCr2Te4
Calculated powder diffractogram, Cu Kα, 1.54184 Å. Input: a crystal structure in Alexandria, relaxed with PBE.
No peak broadening, texture or thermal motion is included.

Top 10 peaks for 5° ≤ 2θ ≤ 70°, low angle first:
two_theta  d [Å]  intensity
28.6  3.120  26
28.9  3.088  31
29.2  3.059  49
29.5  3.025  100
29.7  3.011  61
38.8  2.320  36
39.0  2.308  27
44.8  2.022  56
45.9  1.975  26
51.4  1.777  23

Atomic structure:
Lattice parameters (Å, degrees): 7.4055 7.4055 7.0621 117.88 117.88 30.94
Atoms (fractional coordinates):
Ti: 0.0000 0.0000 0.0000
Cr: 0.2575 0.2575 0.2743
Cr: 0.7425 0.7425 0.7257
Te: 0.1229 0.1229 0.4503
Te: 0.3671 0.3671 0.0331
Te: 0.6329 0.6329 0.9669
Te: 0.8771 0.8771 0.5497